[1]
Simulated PXRD pattern
Compound: TaV
Radiation: Cu Kα, 1.54184 Å
Structure: a structure optimized by DFT (GGA-PBE)
Neutral-atom scattering factors, no anomalous dispersion.

```
data_TaV
_cell_length_a 2.812
_cell_length_b 2.812
_cell_length_c 4.341
_cell_angle_alpha 90.00
_cell_angle_beta 90.00
_cell_angle_gamma 110.31
_space_group_name_H-M_alt 'P 1'
_space_group_IT_number 1
loop_
_space_group_symop_operation_xyz
'x,y,z'
loop_
_atom_site_label
_atom_site_fract_x
_atom_site_fract_y
_atom_site_fract_z
_atom_site_occupancy
Ta1 0.000 0.000 0.000 1
V1 0.500 0.500 0.500 1
```

Most intense lines, 2θ from 5° to 70°, sorted by position:
2θ 20.46, intensity 42
2θ 33.99, intensity 24
2θ 39.03, intensity 27
2θ 40.00, intensity 100
2θ 41.61, intensity 22
2θ 44.46, intensity 12
2θ 54.77, intensity 13
2θ 57.35, intensity 9
2θ 58.36, intensity 16
2θ 61.54, intensity 5


[2]
Simulated PXRD pattern
Compound: Ta6Zn7
Radiation: Cu Kα, 1.54184 Å
Structure: a structure optimized by DFT (GGA-PBE)
Neutral-atom scattering factors, no anomalous dispersion.

```
data_Ta6Zn7
_cell_length_a 9.617
_cell_length_b 9.617
_cell_length_c 9.617
_cell_angle_alpha 30.54
_cell_angle_beta 30.54
_cell_angle_gamma 30.54
_space_group_name_H-M_alt 'P 1'
_space_group_IT_number 1
loop_
_space_group_symop_operation_xyz
'x,y,z'
loop_
_atom_site_label
_atom_site_fract_x
_atom_site_fract_y
_atom_site_fract_z
_atom_site_occupancy
Ta1 0.045 0.045 0.045 1
Ta2 0.150 0.150 0.150 1
Ta3 0.335 0.335 0.335 1
Ta4 0.665 0.665 0.665 1
Ta5 0.850 0.850 0.850 1
Ta6 0.955 0.955 0.955 1
Zn1 0.085 0.594 0.594 1
Zn2 0.406 0.406 0.915 1
Zn3 0.406 0.915 0.406 1
Zn4 0.500 0.500 0.500 1
Zn5 0.594 0.085 0.594 1
Zn6 0.594 0.594 0.085 1
Zn7 0.915 0.406 0.406 1
```

Most intense lines, 2θ from 5° to 70°, sorted by position:
2θ 35.44, intensity 100
2θ 38.66, intensity 74
2θ 40.70, intensity 89
2θ 41.29, intensity 29
2θ 41.59, intensity 54
2θ 44.47, intensity 18
2θ 63.63, intensity 19
2θ 65.77, intensity 30
2θ 67.20, intensity 20
2θ 67.83, intensity 25


[3]
Simulated PXRD pattern
Compound: TaZn2
Radiation: Cu Kα, 1.54184 Å
Structure: a structure optimized by DFT (GGA-PBE)
Neutral-atom scattering factors, no anomalous dispersion.

```
data_TaZn2
_cell_length_a 5.063
_cell_length_b 5.063
_cell_length_c 8.156
_cell_angle_alpha 90.00
_cell_angle_beta 90.00
_cell_angle_gamma 120.00
_space_group_name_H-M_alt 'P 1'
_space_group_IT_number 1
loop_
_space_group_symop_operation_xyz
'x,y,z'
loop_
_atom_site_label
_atom_site_fract_x
_atom_site_fract_y
_atom_site_fract_z
_atom_site_occupancy
Ta1 0.333 0.667 0.066 1
Ta2 0.333 0.667 0.434 1
Ta3 0.667 0.333 0.566 1
Ta4 0.667 0.333 0.934 1
Zn1 0.000 0.000 0.000 1
Zn2 0.000 0.000 0.500 1
Zn3 0.172 0.344 0.750 1
Zn4 0.172 0.828 0.750 1
Zn5 0.344 0.172 0.250 1
Zn6 0.656 0.828 0.750 1
Zn7 0.828 0.172 0.250 1
Zn8 0.828 0.656 0.250 1
```

Most intense lines, 2θ from 5° to 70°, sorted by position:
2θ 20.25, intensity 12
2θ 23.03, intensity 10
2θ 35.46, intensity 64
2θ 38.98, intensity 100
2θ 41.17, intensity 15
2θ 42.01, intensity 92
2θ 42.70, intensity 57
2θ 63.66, intensity 12
2θ 66.02, intensity 39
2θ 68.15, intensity 22


[4]
Simulated PXRD pattern
Compound: TaZn2
Radiation: Cu Kα, 1.54184 Å
Structure: a structure optimized by DFT (GGA-PBE)
Neutral-atom scattering factors, no anomalous dispersion.

```
data_TaZn2
_cell_length_a 5.048
_cell_length_b 5.048
_cell_length_c 16.325
_cell_angle_alpha 90.00
_cell_angle_beta 90.00
_cell_angle_gamma 120.00
_space_group_name_H-M_alt 'P 1'
_space_group_IT_number 1
loop_
_space_group_symop_operation_xyz
'x,y,z'
loop_
_atom_site_label
_atom_site_fract_x
_atom_site_fract_y
_atom_site_fract_z
_atom_site_occupancy
Ta1 0.000 0.000 0.091 1
Ta2 0.000 0.000 0.409 1
Ta3 0.000 0.000 0.591 1
Ta4 0.000 0.000 0.909 1
Ta5 0.333 0.667 0.156 1
Ta6 0.333 0.667 0.344 1
Ta7 0.667 0.333 0.656 1
Ta8 0.667 0.333 0.844 1
Zn1 0.000 0.500 0.000 1
Zn2 0.000 0.500 0.500 1
Zn3 0.161 0.321 0.750 1
Zn4 0.161 0.839 0.750 1
Zn5 0.321 0.161 0.250 1
Zn6 0.333 0.667 0.627 1
Zn7 0.333 0.667 0.873 1
Zn8 0.500 0.000 0.000 1
Zn9 0.500 0.000 0.500 1
Zn10 0.500 0.500 0.000 1
Zn11 0.500 0.500 0.500 1
Zn12 0.667 0.333 0.127 1
Zn13 0.667 0.333 0.373 1
Zn14 0.679 0.839 0.750 1
Zn15 0.839 0.161 0.250 1
Zn16 0.839 0.679 0.250 1
```

Most intense lines, 2θ from 5° to 70°, sorted by position:
2θ 34.28, intensity 21
2θ 35.57, intensity 68
2θ 38.99, intensity 82
2θ 41.69, intensity 21
2θ 42.10, intensity 100
2θ 42.83, intensity 46
2θ 44.01, intensity 14
2θ 63.89, intensity 13
2θ 66.17, intensity 31
2θ 68.36, intensity 23


[5]
Simulated PXRD pattern
Compound: Tb
Radiation: Cu Kα, 1.54184 Å
Structure: a structure optimized by DFT (GGA-PBE)
Neutral-atom scattering factors, no anomalous dispersion.

```
data_Tb
_cell_length_a 3.640
_cell_length_b 3.640
_cell_length_c 5.664
_cell_angle_alpha 90.00
_cell_angle_beta 90.00
_cell_angle_gamma 120.00
_space_group_name_H-M_alt 'P 1'
_space_group_IT_number 1
loop_
_space_group_symop_operation_xyz
'x,y,z'
loop_
_atom_site_label
_atom_site_fract_x
_atom_site_fract_y
_atom_site_fract_z
_atom_site_occupancy
Tb1 0.333 0.667 0.250 1
Tb2 0.667 0.333 0.750 1
```

Most intense lines, 2θ from 5° to 70°, sorted by position:
2θ 28.31, intensity 24
2θ 31.59, intensity 24
2θ 32.50, intensity 100
2θ 42.93, intensity 16
2θ 50.12, intensity 20
2θ 56.85, intensity 20
2θ 58.56, intensity 3
2θ 60.46, intensity 23
2θ 61.01, intensity 17
2θ 68.07, intensity 4


[6]
Simulated PXRD pattern
Compound: Tb
Radiation: Cu Kα, 1.54184 Å
Structure: a structure optimized by DFT (GGA-PBE)
Neutral-atom scattering factors, no anomalous dispersion.

```
data_Tb
_cell_length_a 8.899
_cell_length_b 8.899
_cell_length_c 8.899
_cell_angle_alpha 23.23
_cell_angle_beta 23.23
_cell_angle_gamma 23.23
_space_group_name_H-M_alt 'P 1'
_space_group_IT_number 1
loop_
_space_group_symop_operation_xyz
'x,y,z'
loop_
_atom_site_label
_atom_site_fract_x
_atom_site_fract_y
_atom_site_fract_z
_atom_site_occupancy
Tb1 0.000 0.000 0.000 1
Tb2 0.222 0.222 0.222 1
Tb3 0.778 0.778 0.778 1
```

Most intense lines, 2θ from 5° to 70°, sorted by position:
2θ 28.98, intensity 36
2θ 31.00, intensity 51
2θ 31.97, intensity 100
2θ 33.65, intensity 87
2θ 40.21, intensity 15
2θ 50.97, intensity 38
2θ 54.65, intensity 22
2θ 57.93, intensity 18
2θ 60.87, intensity 45
2θ 61.44, intensity 15


[7]
Simulated PXRD pattern
Compound: Tb
Radiation: Cu Kα, 1.54184 Å
Structure: a structure optimized by DFT (GGA-PBE)
Neutral-atom scattering factors, no anomalous dispersion.

```
data_Tb
_cell_length_a 3.576
_cell_length_b 3.576
_cell_length_c 17.367
_cell_angle_alpha 90.00
_cell_angle_beta 90.00
_cell_angle_gamma 120.00
_space_group_name_H-M_alt 'P 1'
_space_group_IT_number 1
loop_
_space_group_symop_operation_xyz
'x,y,z'
loop_
_atom_site_label
_atom_site_fract_x
_atom_site_fract_y
_atom_site_fract_z
_atom_site_occupancy
Tb1 0.000 0.000 0.250 1
Tb2 0.000 0.000 0.750 1
Tb3 0.333 0.667 0.083 1
Tb4 0.333 0.667 0.417 1
Tb5 0.667 0.333 0.583 1
Tb6 0.667 0.333 0.917 1
```

Most intense lines, 2θ from 5° to 70°, sorted by position:
2θ 29.29, intensity 34
2θ 30.65, intensity 90
2θ 30.89, intensity 59
2θ 32.80, intensity 100
2θ 35.61, intensity 60
2θ 51.08, intensity 43
2θ 51.40, intensity 21
2θ 56.16, intensity 22
2θ 60.90, intensity 51
2θ 62.04, intensity 16


[8]
Simulated PXRD pattern
Compound: Tb
Radiation: Cu Kα, 1.54184 Å
Structure: a structure optimized by DFT (GGA-PBE)
Neutral-atom scattering factors, no anomalous dispersion.

```
data_Tb
_cell_length_a 3.481
_cell_length_b 3.481
_cell_length_c 3.481
_cell_angle_alpha 109.47
_cell_angle_beta 109.47
_cell_angle_gamma 109.47
_space_group_name_H-M_alt 'P 1'
_space_group_IT_number 1
loop_
_space_group_symop_operation_xyz
'x,y,z'
loop_
_atom_site_label
_atom_site_fract_x
_atom_site_fract_y
_atom_site_fract_z
_atom_site_occupancy
Tb1 0.000 0.000 0.000 1
```

Most intense lines, 2θ from 5° to 70°, sorted by position:
2θ 31.47, intensity 100
2θ 45.11, intensity 19
2θ 56.04, intensity 39
2θ 65.70, intensity 12